Starting from a DFT-relaxed cell (GGA-PBE, Alexandria), the powder X-ray diffraction pattern of La6CePm2Nd was calculated for CuKα.

```
La6CePm2Nd
1.0
5.6965 -3.5882 0.0000
5.6965 3.5882 0.0000
-2.1098 0.0000 8.8218
La Ce Pm Nd
6 1 2 1
direct
0.0921 0.5625 0.2036
0.1271 0.1271 0.4151
0.4375 0.9079 0.7964
0.5625 0.0921 0.2036
0.8729 0.8729 0.5849
0.9079 0.4375 0.7964
0.0000 0.0000 0.0000
0.4045 0.4045 0.8435
0.5955 0.5955 0.1565
0.5000 0.5000 0.5000
```

The 10 most intense peaks (2θ from 10° to 80°), in order of rising 2θ:
2θ (°)  intensity
26.51  39
28.65  35
29.66  56
30.12  100
30.39  67
30.95  75
32.15  98
32.61  38
33.98  32
54.60  29